Record 1
Ba2MgMo4P8O28: theoretical PXRD pattern (CuKα), based on the GGA+U geometry in the Materials Project.

Atomic structure:
```
data_Ba2MgMo4P8O28
_space_group_name_H-M_alt 'P 1'
_space_group_IT_number 1
_cell_length_a 8.024
_cell_length_b 8.114
_cell_length_c 10.248
_cell_angle_alpha 76.28
_cell_angle_beta 77.90
_cell_angle_gamma 84.68
loop_
_space_group_symop_operation_xyz
'x,y,z'
loop_
_atom_site_label
_atom_site_type_symbol
_atom_site_fract_x
_atom_site_fract_y
_atom_site_fract_z
Ba1 Ba 0.000 0.000 0.000
Ba2 Ba 0.492 0.494 0.541
Mg1 Mg 0.108 0.891 0.444
Mo1 Mo 0.002 0.478 0.513
Mo2 Mo 0.007 0.484 0.027
Mo3 Mo 0.474 0.033 0.268
Mo4 Mo 0.549 0.931 0.782
P1 P 0.199 0.776 0.734
P2 P 0.274 0.124 0.587
P3 P 0.290 0.686 0.233
P4 P 0.366 0.222 0.962
P5 P 0.650 0.747 0.088
P6 P 0.725 0.282 0.810
P7 P 0.759 0.866 0.478
P8 P 0.802 0.236 0.316
O1 O 0.066 0.719 0.861
O2 O 0.160 0.986 0.705
O3 O 0.177 0.725 0.604
O4 O 0.189 0.295 0.602
O5 O 0.202 0.320 0.929
O6 O 0.202 0.700 0.115
O7 O 0.239 0.548 0.363
O8 O 0.265 0.077 0.450
O9 O 0.276 0.862 0.278
O10 O 0.368 0.046 0.927
O11 O 0.384 0.211 0.109
O12 O 0.385 0.747 0.751
O13 O 0.456 0.114 0.613
O14 O 0.496 0.646 0.199
O15 O 0.519 0.329 0.855
O16 O 0.601 0.855 0.420
O17 O 0.623 0.749 0.946
O18 O 0.624 0.217 0.293
O19 O 0.646 0.928 0.117
O20 O 0.730 0.833 0.633
O21 O 0.736 0.096 0.794
O22 O 0.765 0.410 0.671
O23 O 0.798 0.370 0.398
O24 O 0.814 0.654 0.121
O25 O 0.825 0.298 0.915
O26 O 0.853 0.047 0.417
O27 O 0.912 0.750 0.428
O28 O 0.943 0.243 0.190
```

Principal peaks in the range 2θ from 10° to 80°, low angle first:
hkl, Position (°2θ), I/Imax
2 0 0, 22.71, 50
1 0 -2, 23.25, 66
0 1 -2, 23.49, 51
-1 1 2, 24.26, 51
1 -1 2, 24.76, 56
1 2 2, 26.21, 61
2 2 0, 31.47, 100
-2 1 2, 32.92, 62

---

Record 2
Ba2MgMo4P8O28: theoretical PXRD pattern (CuKα), based on the GGA+U geometry in the Materials Project.

Atomic structure:
```
data_Ba2MgMo4P8O28
_space_group_name_H-M_alt 'P 1'
_space_group_IT_number 1
_cell_length_a 7.825
_cell_length_b 7.906
_cell_length_c 10.265
_cell_angle_alpha 99.43
_cell_angle_beta 98.44
_cell_angle_gamma 90.30
loop_
_space_group_symop_operation_xyz
'x,y,z'
loop_
_atom_site_label
_atom_site_type_symbol
_atom_site_fract_x
_atom_site_fract_y
_atom_site_fract_z
Ba1 Ba 0.000 0.000 0.000
Ba2 Ba 0.434 0.519 0.376
Mg1 Mg 0.647 0.480 0.705
Mo1 Mo 0.465 0.043 0.750
Mo2 Mo 0.518 0.954 0.236
Mo3 Mo 0.991 0.507 0.499
Mo4 Mo 0.999 0.501 0.999
P1 P 0.130 0.804 0.299
P2 P 0.244 0.697 0.792
P3 P 0.259 0.151 0.455
P4 P 0.381 0.259 0.048
P5 P 0.607 0.739 0.937
P6 P 0.718 0.851 0.528
P7 P 0.747 0.299 0.199
P8 P 0.847 0.192 0.684
O1 O 0.115 0.672 0.391
O2 O 0.123 0.996 0.383
O3 O 0.133 0.674 0.899
O4 O 0.164 0.314 0.425
O5 O 0.197 0.582 0.658
O6 O 0.235 0.376 0.084
O7 O 0.260 0.889 0.788
O8 O 0.293 0.144 0.603
O9 O 0.315 0.788 0.260
O10 O 0.358 0.083 0.093
O11 O 0.412 0.243 0.905
O12 O 0.422 0.141 0.386
O13 O 0.442 0.636 0.840
O14 O 0.551 0.357 0.145
O15 O 0.555 0.865 0.595
O16 O 0.582 0.755 0.082
O17 O 0.637 0.912 0.892
O18 O 0.664 0.223 0.727
O19 O 0.671 0.817 0.375
O20 O 0.734 0.108 0.207
O21 O 0.750 0.611 0.898
O22 O 0.784 0.419 0.333
O23 O 0.827 0.032 0.564
O24 O 0.832 0.710 0.576
O25 O 0.864 0.322 0.097
O26 O 0.874 0.356 0.625
O27 O 0.981 0.160 0.796
O28 O 0.992 0.789 0.178
```

Principal peaks in the range 2θ from 10° to 80°, low angle first:
hkl, Position (°2θ), I/Imax
1 0 2, 22.58, 100
0 2 0, 22.81, 22
2 0 0, 23.01, 36
-2 1 1, 26.41, 29
1 2 -2, 28.17, 45
1 -2 2, 29.78, 35
-1 2 2, 32.26, 36
2 2 0, 33.11, 37

---

Record 3
Ba2MgNbVO6: theoretical PXRD pattern (CuKα), based on the GGA+U geometry in the Materials Project.

Atomic structure:
```
data_Ba2MgNbVO6
_space_group_name_H-M_alt 'C 1 m 1'
_space_group_IT_number 8
_cell_length_a 10.534
_cell_length_b 6.114
_cell_length_c 6.538
_cell_angle_alpha 90.00
_cell_angle_beta 121.57
_cell_angle_gamma 90.00
loop_
_space_group_symop_operation_xyz
'x,y,z'
'x,-y,z'
'x+1/2,y+1/2,z'
'x+1/2,-y+1/2,z'
loop_
_atom_site_label
_atom_site_type_symbol
_atom_site_fract_x
_atom_site_fract_y
_atom_site_fract_z
Ba1 Ba 0.000 0.000 0.000
Ba2 Ba 0.076 0.500 0.715
Mg1 Mg 0.212 0.000 0.634
Nb1 Nb 0.288 0.500 0.363
V1 V 0.377 0.000 0.134
O1 O 0.017 0.000 0.583
O2 O 0.058 0.500 0.129
O3 O 0.282 0.272 0.122
O4 O 0.287 0.270 0.594
```

Principal peaks in the range 2θ from 10° to 80°, low angle first:
hkl, Position (°2θ), I/Imax
1 1 0, 17.55, 24
1 1 1, 27.10, 25
0 2 0, 29.22, 51
3 1 -1, 29.34, 100
2 0 1, 31.48, 40
1 1 -2, 31.79, 78
2 2 -2, 40.53, 25
2 2 1, 43.48, 31

---

Record 4
Ba2MgNbVO6: theoretical PXRD pattern (CuKα), based on the GGA+U geometry in the Materials Project.

Atomic structure:
```
data_Ba2MgNbVO6
_space_group_name_H-M_alt 'I m m m'
_space_group_IT_number 71
_space_group_name_Hall '-I 2 2'
_cell_length_a 5.884
_cell_length_b 5.956
_cell_length_c 9.529
_cell_angle_alpha 90.00
_cell_angle_beta 90.00
_cell_angle_gamma 90.00
loop_
_atom_site_label
_atom_site_type_symbol
_atom_site_fract_x
_atom_site_fract_y
_atom_site_fract_z
Ba1 Ba 0.000 0.000 0.189
Mg1 Mg 0.000 0.000 0.500
Nb1 Nb 0.000 0.500 0.500
V1 V 0.000 0.500 0.000
O1 O 0.000 0.500 0.283
O2 O 0.240 0.239 0.500
```

Principal peaks in the range 2θ from 10° to 80°, low angle first:
hkl, Position (°2θ), I/Imax
0 1 1, 17.56, 29
1 1 2, 28.38, 100
0 2 0, 30.01, 45
2 0 0, 30.38, 43
1 0 3, 31.98, 69
2 2 0, 43.23, 56
1 2 3, 44.45, 31
2 1 3, 44.66, 20

---

What did the third record say?
Ba2MgNbVO6: theoretical PXRD pattern (CuKα), based on the GGA+U geometry in the Materials Project.

Atomic structure:
```
data_Ba2MgNbVO6
_space_group_name_H-M_alt 'C 1 m 1'
_space_group_IT_number 8
_cell_length_a 10.534
_cell_length_b 6.114
_cell_length_c 6.538
_cell_angle_alpha 90.00
_cell_angle_beta 121.57
_cell_angle_gamma 90.00
loop_
_space_group_symop_operation_xyz
'x,y,z'
'x,-y,z'
'x+1/2,y+1/2,z'
'x+1/2,-y+1/2,z'
loop_
_atom_site_label
_atom_site_type_symbol
_atom_site_fract_x
_atom_site_fract_y
_atom_site_fract_z
Ba1 Ba 0.000 0.000 0.000
Ba2 Ba 0.076 0.500 0.715
Mg1 Mg 0.212 0.000 0.634
Nb1 Nb 0.288 0.500 0.363
V1 V 0.377 0.000 0.134
O1 O 0.017 0.000 0.583
O2 O 0.058 0.500 0.129
O3 O 0.282 0.272 0.122
O4 O 0.287 0.270 0.594
```

Principal peaks in the range 2θ from 10° to 80°, low angle first:
hkl, Position (°2θ), I/Imax
1 1 0, 17.55, 24
1 1 1, 27.10, 25
0 2 0, 29.22, 51
3 1 -1, 29.34, 100
2 0 1, 31.48, 40
1 1 -2, 31.79, 78
2 2 -2, 40.53, 25
2 2 1, 43.48, 31

---

What is the formula in the third record?
Ba2MgNbVO6